No. 1
TbGa6Fe6: calculated powder diffractogram (CuKα), based on a structure optimized by DFT (GGA-PBE).
Kinematic intensities with the Lorentz-polarization factor, no thermal factor.

The 6 most intense peaks (10° ≤ 2θ ≤ 80°), in order of falling intensity:
2θ (°), I/Imax
42.0, 100
40.6, 92
35.8, 73
41.5, 66
75.9, 27
34.5, 22

Atomic structure:
```
TbGa6Fe6
1.0
0.000 6.023 6.121
2.596 0.000 6.121
2.596 6.023 0.000
Tb Ga Fe
1 6 6
Direct
0.000 0.000 0.000
0.000 0.000 0.500
0.017 0.351 0.649
0.351 0.017 0.983
0.500 0.500 0.000
0.649 0.983 0.017
0.983 0.649 0.351
0.000 0.500 0.000
0.291 0.494 0.506
0.494 0.291 0.709
0.500 0.000 0.500
0.506 0.709 0.291
0.709 0.506 0.494
```

***

No. 2
KSb2Se2S: calculated powder diffractogram (CuKα), based on a structure optimized by DFT (GGA-PBE).
Kinematic intensities with the Lorentz-polarization factor, no thermal factor.

The 6 most intense peaks (10° ≤ 2θ ≤ 80°), in order of falling intensity:
2θ (°), I/Imax
13.0, 100
37.6, 41
33.8, 37
21.1, 27
28.5, 25
33.2, 20

Atomic structure:
```
KSb2Se2S
1.0
6.985 0.000 0.000
0.000 7.051 0.000
-1.977 0.000 8.414
K Sb Se S
2 4 4 2
Direct
0.032 0.250 0.319
0.968 0.750 0.681
0.491 0.010 0.759
0.491 0.490 0.759
0.509 0.510 0.241
0.509 0.990 0.241
0.193 0.250 0.712
0.371 0.750 0.502
0.629 0.250 0.498
0.807 0.750 0.288
0.379 0.750 0.951
0.621 0.250 0.049
```

***

No. 3
Np2CuO11: calculated powder diffractogram (CuKα), based on a structure optimized by DFT (GGA-PBE).
Kinematic intensities with the Lorentz-polarization factor, no thermal factor.

The 6 most intense peaks (10° ≤ 2θ ≤ 80°), in order of falling intensity:
2θ (°), I/Imax
16.9, 100
21.7, 80
20.2, 71
22.6, 55
28.7, 47
21.2, 44

Atomic structure:
```
Np2CuO11
1.0
5.810 0.000 0.000
2.353 8.529 0.000
2.305 2.840 8.900
Np Cu O
4 2 22
Direct
0.000 0.000 0.000
0.040 0.361 0.273
0.375 0.515 0.515
0.661 0.856 0.754
0.012 0.440 0.884
0.046 0.943 0.386
0.055 0.213 0.884
0.092 0.518 0.671
0.110 0.013 0.173
0.142 0.381 0.439
0.231 0.505 0.153
0.244 0.733 0.396
0.371 0.102 0.336
0.388 0.407 0.875
0.391 0.871 0.915
0.472 0.538 0.845
0.475 0.012 0.625
0.506 0.632 0.691
0.521 0.318 0.627
0.572 0.047 0.255
0.605 0.139 0.110
0.652 0.510 0.360
0.834 0.662 0.877
0.852 0.997 0.841
0.906 0.167 0.383
0.913 0.807 0.117
0.928 0.369 0.095
0.934 0.863 0.590
```